This entry pairs a crystal structure of Li2Ca3N6 with its computed powder diffraction line list. Radiation: Cu Kα, 1.54184 Å. Structure: a DFT-relaxed cell (GGA-PBE, the Materials Project).

Atomic structure:
```
Li2Ca3N6
1.0
7.111 -4.037 0.000
7.111 4.037 0.000
0.000 0.000 4.860
Li Ca N
4 6 12
Direct
0.161 0.161 0.000
0.161 0.161 0.500
0.839 0.839 0.000
0.839 0.839 0.500
0.179 0.497 0.250
0.182 0.818 0.750
0.497 0.179 0.750
0.503 0.821 0.250
0.818 0.182 0.250
0.821 0.503 0.750
0.039 0.614 0.750
0.065 0.842 0.250
0.158 0.935 0.250
0.165 0.432 0.750
0.386 0.961 0.750
0.432 0.165 0.250
0.568 0.835 0.750
0.614 0.039 0.250
0.835 0.568 0.250
0.842 0.065 0.750
0.935 0.158 0.750
0.961 0.386 0.250
```

Principal peaks in the range 2θ from 10° to 80°, sorted by position:
Position (°2θ)	I (rel.)
21.74	100
22.02	49
28.53	48
28.75	35
37.00	78
37.96	49
38.47	82
43.32	43
48.31	47
54.43	34

This entry pairs a crystal structure of Cs2CeAsS3Cl2 with its computed powder diffraction line list. Radiation: Cu Kα, 1.54184 Å. Structure: a DFT-relaxed cell (GGA-PBE, the Materials Project).

Atomic structure:
```
Cs2CeAsS3Cl2
1.0
17.983 0.000 0.000
0.000 6.701 0.000
0.000 0.000 9.550
Cs Ce As S Cl
8 4 4 12 8
Direct
0.072 0.250 0.041
0.219 0.750 0.838
0.281 0.250 0.338
0.428 0.750 0.541
0.572 0.250 0.459
0.719 0.750 0.662
0.781 0.250 0.162
0.928 0.750 0.959
0.057 0.750 0.434
0.443 0.250 0.934
0.557 0.750 0.066
0.943 0.250 0.566
0.135 0.250 0.622
0.365 0.750 0.122
0.635 0.250 0.878
0.865 0.750 0.378
0.061 0.504 0.694
0.061 0.996 0.694
0.090 0.250 0.401
0.410 0.750 0.901
0.439 0.004 0.194
0.439 0.496 0.194
0.561 0.504 0.806
0.561 0.996 0.806
0.590 0.250 0.099
0.910 0.750 0.599
0.939 0.004 0.306
0.939 0.496 0.306
0.106 0.750 0.144
0.217 0.750 0.471
0.283 0.250 0.971
0.394 0.250 0.644
0.606 0.750 0.356
0.717 0.750 0.029
0.783 0.250 0.529
0.894 0.250 0.856
```

Principal peaks in the range 2θ from 10° to 80°, sorted by position:
Position (°2θ)	I (rel.)
18.95	40
21.96	78
23.40	61
26.60	100
29.72	84
31.51	74
32.70	58
34.69	51
40.39	44
41.39	38

This entry pairs a crystal structure of NaCa3 with its computed powder diffraction line list. Radiation: Cu Kα, 1.54184 Å. Structure: a DFT-relaxed cell (GGA-PBE, the Materials Project).

Atomic structure:
```
NaCa3
1.0
8.675 0.000 0.000
0.000 8.675 0.000
0.000 0.000 8.675
Na Ca
4 12
Direct
0.000 0.000 0.000
0.000 0.500 0.500
0.500 0.000 0.500
0.500 0.500 0.000
0.000 0.000 0.500
0.000 0.500 0.000
0.250 0.250 0.250
0.250 0.250 0.750
0.250 0.750 0.250
0.250 0.750 0.750
0.500 0.000 0.000
0.500 0.500 0.500
0.750 0.250 0.250
0.750 0.250 0.750
0.750 0.750 0.250
0.750 0.750 0.750
```

Principal peaks in the range 2θ from 10° to 80°, sorted by position:
Position (°2θ)	I (rel.)
17.71	4
20.48	2
29.12	100
34.29	2
41.65	18
45.58	1
51.62	35
60.36	11
68.40	14
76.01	3

This entry pairs a crystal structure of NdGdIr2 with its computed powder diffraction line list. Radiation: Cu Kα, 1.54184 Å. Structure: a DFT-relaxed cell (GGA-PBE, the Materials Project).

Atomic structure:
```
NdGdIr2
1.0
7.026 0.000 0.000
0.000 7.026 0.000
0.000 0.000 7.026
Nd Gd Ir
4 4 8
Direct
0.000 0.000 0.000
0.000 0.500 0.500
0.500 0.000 0.500
0.500 0.500 0.000
0.000 0.000 0.500
0.000 0.500 0.000
0.500 0.000 0.000
0.500 0.500 0.500
0.250 0.250 0.250
0.250 0.250 0.750
0.250 0.750 0.250
0.250 0.750 0.750
0.750 0.250 0.250
0.750 0.250 0.750
0.750 0.750 0.250
0.750 0.750 0.750
```

Principal peaks in the range 2θ from 10° to 80°, sorted by position:
Position (°2θ)	I (rel.)
25.35	2
36.16	100
44.68	1
52.07	18
58.77	1
65.03	37
76.73	11

This entry pairs a crystal structure of ScP4Ru6 with its computed powder diffraction line list. Radiation: Cu Kα, 1.54184 Å. Structure: a DFT-relaxed cell (GGA-PBE, the Materials Project).

Atomic structure:
```
ScP4Ru6
1.0
6.965 0.000 0.000
-3.483 6.032 0.000
0.000 0.000 3.663
Sc P Ru
1 4 6
Direct
0.000 0.000 0.000
0.187 0.373 0.500
0.187 0.813 0.500
0.627 0.813 0.500
0.667 0.333 0.000
0.072 0.536 0.000
0.393 0.196 0.500
0.464 0.536 0.000
0.464 0.928 0.000
0.804 0.196 0.500
0.804 0.607 0.500
```

Principal peaks in the range 2θ from 10° to 80°, sorted by position:
Position (°2θ)	I (rel.)
14.69	21
28.51	28
38.67	100
39.53	20
45.09	27
46.94	44
49.79	20
52.56	20
69.41	15
73.10	16

This entry pairs a crystal structure of MgAl4Cu2O8 with its computed powder diffraction line list. Radiation: Cu Kα, 1.54184 Å. Structure: a DFT-relaxed cell (GGA-PBE, the Materials Project).

Atomic structure:
```
MgAl4Cu2O8
1.0
5.728 0.000 0.000
-1.662 5.741 0.000
-1.668 -2.582 5.132
Mg Al Cu O
1 4 2 8
Direct
0.000 0.000 0.000
0.000 0.726 0.275
0.445 0.525 0.053
0.500 0.012 0.990
0.554 0.949 0.477
0.248 0.393 0.539
0.748 0.464 0.607
0.235 0.045 0.371
0.262 0.616 0.302
0.293 0.676 0.874
0.303 0.185 0.946
0.697 0.056 0.817
0.706 0.127 0.325
0.738 0.699 0.387
0.763 0.631 0.957
```

Principal peaks in the range 2θ from 10° to 80°, sorted by position:
Position (°2θ)	I (rel.)
17.29	35
18.14	41
29.64	41
31.20	93
31.99	27
32.67	100
34.98	39
40.44	29
50.73	31
52.27	36

This entry pairs a crystal structure of Nd2Ni7 with its computed powder diffraction line list. Radiation: Cu Kα, 1.54184 Å. Structure: a DFT-relaxed cell (GGA-PBE, the Materials Project).

Atomic structure:
```
Nd2Ni7
1.0
5.017 0.000 0.000
-2.508 4.345 0.000
0.000 0.000 24.496
Nd Ni
8 28
Direct
0.333 0.667 0.030
0.333 0.667 0.175
0.333 0.667 0.325
0.333 0.667 0.470
0.667 0.333 0.530
0.667 0.333 0.675
0.667 0.333 0.825
0.667 0.333 0.970
0.000 0.000 0.000
0.000 0.000 0.169
0.000 0.000 0.331
0.000 0.000 0.500
0.000 0.000 0.669
0.000 0.000 0.831
0.166 0.332 0.587
0.166 0.332 0.913
0.166 0.834 0.587
0.166 0.834 0.913
0.168 0.335 0.750
0.168 0.832 0.750
0.332 0.166 0.087
0.332 0.166 0.413
0.333 0.667 0.668
0.333 0.667 0.832
0.335 0.168 0.250
0.665 0.832 0.750
0.667 0.333 0.168
0.667 0.333 0.332
0.668 0.834 0.587
0.668 0.834 0.913
0.832 0.168 0.250
0.832 0.665 0.250
0.834 0.166 0.087
0.834 0.166 0.413
0.834 0.668 0.087
0.834 0.668 0.413
```

Principal peaks in the range 2θ from 10° to 80°, sorted by position:
Position (°2θ)	I (rel.)
32.86	64
35.80	51
41.74	33
42.29	100
44.38	15
45.68	16
62.47	21
65.58	16
68.78	23
75.85	22